1.
Diffraction record for Dy2GaHRh6. The X-ray powder pattern is computed, not measured: it uses a DFT-relaxed cell (PBE, Alexandria) and Cu Kα (λ = 1.5418 Å).

```
data_Dy2GaHRh6
_space_group_name_H-M_alt 'C 1 2/m 1'
_space_group_IT_number 12
_space_group_name_Hall '-C 2y'
_cell_length_a 8.592
_cell_length_b 8.610
_cell_length_c 6.056
_cell_angle_alpha 90.00
_cell_angle_beta 134.66
_cell_angle_gamma 90.00
loop_
_atom_site_label
_atom_site_type_symbol
_atom_site_fract_x
_atom_site_fract_y
_atom_site_fract_z
Dy1 Dy 0.000 0.248 0.000
Ga1 Ga 0.000 0.000 0.500
H1 H 0.000 0.500 0.500
Rh1 Rh 0.000 0.274 0.500
Rh2 Rh 0.224 0.500 0.497
Rh3 Rh 0.224 0.500 0.951
```

Most intense lines, 2θ = 10–90°, by intensity:
- hkl 2 2 0, 2θ = 36.04°, rel. 100.0
- hkl 2 2 -2, 2θ = 36.27°, rel. 99.4
- hkl 0 4 0, 2θ = 41.96°, rel. 89.2
- hkl 0 4 2, 2θ = 60.89°, rel. 53.9
- hkl 4 0 -2, 2θ = 42.07°, rel. 44.2
- hkl 2 6 0, 2θ = 72.81°, rel. 20.9
- hkl 2 2 -1, 2θ = 29.35°, rel. 19.6
- hkl 4 0 -4, 2θ = 61.23°, rel. 13.5
- hkl 4 0 0, 2θ = 60.60°, rel. 13.4
- hkl 4 4 -4, 2θ = 77.01°, rel. 12.6

***

2.
Diffraction record for Zr4CoSn. The X-ray powder pattern is computed, not measured: it uses a DFT-relaxed cell (PBE, Alexandria) and Cu Kα (λ = 1.5418 Å).

```
data_Zr4CoSn
_space_group_name_H-M_alt 'P 4/m c c'
_space_group_IT_number 124
_space_group_name_Hall '-P 4 2c'
_cell_length_a 6.686
_cell_length_b 6.686
_cell_length_c 5.638
_cell_angle_alpha 90.00
_cell_angle_beta 90.00
_cell_angle_gamma 90.00
loop_
_atom_site_label
_atom_site_type_symbol
_atom_site_fract_x
_atom_site_fract_y
_atom_site_fract_z
Zr1 Zr 0.139 0.318 0.000
Co1 Co 0.000 0.000 0.250
Sn1 Sn 0.500 0.500 0.250
```

Most intense lines, 2θ = 10–90°, by intensity:
- hkl 2 1 1, 2θ = 33.93°, rel. 100.0
- hkl 3 1 0, 2θ = 42.77°, rel. 46.2
- hkl 2 0 2, 2θ = 41.92°, rel. 42.0
- hkl 1 1 2, 2θ = 37.13°, rel. 41.5
- hkl 2 1 3, 2θ = 57.96°, rel. 20.5
- hkl 3 3 2, 2θ = 68.17°, rel. 20.4
- hkl 4 0 2, 2θ = 64.85°, rel. 14.5
- hkl 2 1 0, 2θ = 29.88°, rel. 14.1
- hkl 3 1 4, 2θ = 82.19°, rel. 13.5
- hkl 2 2 0, 2θ = 38.07°, rel. 12.4

***

3.
Diffraction record for Ti2SO2. The X-ray powder pattern is computed, not measured: it uses a DFT-relaxed cell (PBE, Alexandria) and Cu Kα (λ = 1.5418 Å).

```
data_Ti2SO2
_space_group_name_H-M_alt 'P 1 21/m 1'
_space_group_IT_number 11
_space_group_name_Hall '-P 2yb'
_cell_length_a 4.177
_cell_length_b 3.205
_cell_length_c 8.990
_cell_angle_alpha 90.00
_cell_angle_beta 101.25
_cell_angle_gamma 90.00
loop_
_atom_site_label
_atom_site_type_symbol
_atom_site_fract_x
_atom_site_fract_y
_atom_site_fract_z
Ti1 Ti 0.112 0.250 0.211
Ti2 Ti 0.276 0.250 0.573
S1 S 0.265 0.750 0.044
O1 O 0.212 0.750 0.400
O2 O 0.339 0.750 0.712
```

Most intense lines, 2θ = 10–90°, by intensity:
- hkl 0 1 3, 2θ = 41.69°, rel. 100.0
- hkl 1 1 -1, 2θ = 35.80°, rel. 54.6
- hkl 1 0 2, 2θ = 32.61°, rel. 47.5
- hkl 0 0 1, 2θ = 10.03°, rel. 26.8
- hkl 0 1 2, 2θ = 34.60°, rel. 26.0
- hkl 0 2 0, 2θ = 57.51°, rel. 24.4
- hkl 2 0 -1, 2θ = 43.36°, rel. 21.7
- hkl 1 1 3, 2θ = 50.41°, rel. 19.3
- hkl 2 0 0, 2θ = 44.22°, rel. 19.2
- hkl 2 1 -3, 2θ = 57.29°, rel. 19.1

***

4.
Diffraction record for Bi2SO2. The X-ray powder pattern is computed, not measured: it uses a DFT-relaxed cell (PBE, Alexandria) and Cu Kα (λ = 1.5418 Å).

```
data_Bi2SO2
_space_group_name_H-M_alt 'P n n m'
_space_group_IT_number 58
_space_group_name_Hall '-P 2 2n'
_cell_length_a 3.949
_cell_length_b 12.075
_cell_length_c 3.877
_cell_angle_alpha 90.00
_cell_angle_beta 90.00
_cell_angle_gamma 90.00
loop_
_atom_site_label
_atom_site_type_symbol
_atom_site_fract_x
_atom_site_fract_y
_atom_site_fract_z
Bi1 Bi 0.113 0.144 0.000
S1 S 0.000 0.500 0.000
O1 O 0.085 0.252 0.500
```

Most intense lines, 2θ = 10–90°, by intensity:
- hkl 0 3 1, 2θ = 32.05°, rel. 100.0
- hkl 1 2 0, 2θ = 26.98°, rel. 62.4
- hkl 1 3 0, 2θ = 31.74°, rel. 61.3
- hkl 1 0 1, 2θ = 32.36°, rel. 58.2
- hkl 0 1 1, 2θ = 24.11°, rel. 58.1
- hkl 2 2 1, 2θ = 54.31°, rel. 43.8
- hkl 1 1 1, 2θ = 33.22°, rel. 40.9
- hkl 1 4 1, 2θ = 44.42°, rel. 36.9
- hkl 0 4 0, 2θ = 29.59°, rel. 32.2
- hkl 1 1 0, 2θ = 23.70°, rel. 30.9

***

5.
Diffraction record for Mn3Co4Ge6. The X-ray powder pattern is computed, not measured: it uses a DFT-relaxed cell (PBE, Alexandria) and Cu Kα (λ = 1.5418 Å).

```
data_Mn3Co4Ge6
_space_group_name_H-M_alt 'C m m 2'
_space_group_IT_number 35
_space_group_name_Hall 'C 2 -2'
_cell_length_a 5.080
_cell_length_b 8.713
_cell_length_c 7.846
_cell_angle_alpha 90.00
_cell_angle_beta 90.00
_cell_angle_gamma 90.00
loop_
_atom_site_label
_atom_site_type_symbol
_atom_site_fract_x
_atom_site_fract_y
_atom_site_fract_z
Mn1 Mn 0.000 0.000 0.000
Mn2 Mn 0.250 0.250 0.239
Co1 Co 0.000 0.500 0.239
Co2 Co 0.000 0.500 0.740
Co3 Co 0.250 0.250 0.741
Ge1 Ge 0.000 0.000 0.328
Ge2 Ge 0.000 0.000 0.665
Ge3 Ge 0.000 0.334 0.497
Ge4 Ge 0.000 0.335 0.983
```

Most intense lines, 2θ = 10–90°, by intensity:
- hkl 2 2 2, 2θ = 47.47°, rel. 100.0
- hkl 1 3 2, 2θ = 42.63°, rel. 80.1
- hkl 1 3 0, 2θ = 35.61°, rel. 61.2
- hkl 0 4 2, 2θ = 47.76°, rel. 51.2
- hkl 2 2 0, 2θ = 41.14°, rel. 48.2
- hkl 0 0 4, 2θ = 46.29°, rel. 39.7
- hkl 0 2 3, 2θ = 40.16°, rel. 39.6
- hkl 2 6 0, 2θ = 75.38°, rel. 38.4
- hkl 2 0 2, 2θ = 42.39°, rel. 38.2
- hkl 1 1 4, 2θ = 51.02°, rel. 34.8

***

6.
Diffraction record for AcThTe. The X-ray powder pattern is computed, not measured: it uses a DFT-relaxed cell (PBE, Alexandria) and Cu Kα (λ = 1.5418 Å).

```
data_AcThTe
_space_group_name_H-M_alt 'P -1'
_space_group_IT_number 2
_space_group_name_Hall '-P 1'
_cell_length_a 3.912
_cell_length_b 5.826
_cell_length_c 9.329
_cell_angle_alpha 78.32
_cell_angle_beta 78.23
_cell_angle_gamma 89.52
loop_
_atom_site_label
_atom_site_type_symbol
_atom_site_fract_x
_atom_site_fract_y
_atom_site_fract_z
Ac1 Ac 0.075 0.286 0.346
Th1 Th 0.250 0.754 0.022
Te1 Te 0.403 0.191 0.686
```

Most intense lines, 2θ = 10–90°, by intensity:
- hkl -1 1 1, 2θ = 29.95°, rel. 100.0
- hkl 0 2 0, 2θ = 31.38°, rel. 26.5
- hkl 1 1 -1, 2θ = 32.89°, rel. 26.5
- hkl 1 -1 2, 2θ = 33.27°, rel. 25.5
- hkl 0 2 3, 2θ = 38.99°, rel. 13.2
- hkl 2 0 1, 2θ = 46.43°, rel. 11.1
- hkl 2 -2 1, 2θ = 57.42°, rel. 9.8
- hkl -1 3 1, 2θ = 53.08°, rel. 7.2
- hkl 0 2 -3, 2θ = 48.51°, rel. 7.1
- hkl 1 1 -4, 2θ = 57.01°, rel. 6.8

***

7.
Diffraction record for Dy3GeP2Rh9. The X-ray powder pattern is computed, not measured: it uses a DFT-relaxed cell (PBE, Alexandria) and Cu Kα (λ = 1.5418 Å).

```
data_Dy3GeP2Rh9
_space_group_name_H-M_alt 'P -3 m 1'
_space_group_IT_number 164
_space_group_name_Hall '-P 3 2"'
_cell_length_a 6.0907
_cell_length_b 6.0907
_cell_length_c 8.6778
_cell_angle_alpha 90.00
_cell_angle_beta 90.00
_cell_angle_gamma 120.00
loop_
_atom_site_label
_atom_site_type_symbol
_atom_site_fract_x
_atom_site_fract_y
_atom_site_fract_z
Dy1 Dy 0.0000 0.0000 0.0000
Dy2 Dy 0.3333 0.6667 0.7004
Ge1 Ge 0.0000 0.0000 0.5000
P1 P 0.3333 0.6667 0.1679
Rh1 Rh 0.0000 0.5000 0.0000
Rh2 Rh 0.1501 0.3002 0.2826
```

Most intense lines, 2θ = 10–90°, by intensity:
- hkl 2 0 2, 2θ = 40.01°, rel. 100.0
- hkl 0 2 1, 2θ = 35.58°, rel. 96.9
- hkl 2 2 0, 2θ = 60.83°, rel. 28.2
- hkl 0 0 3, 2θ = 30.91°, rel. 27.8
- hkl 2 0 3, 2θ = 46.60°, rel. 21.1
- hkl 0 2 4, 2θ = 54.79°, rel. 20.3
- hkl 0 0 1, 2θ = 10.19°, rel. 17.7
- hkl 0 2 5, 2θ = 64.25°, rel. 16.2
- hkl 0 0 4, 2θ = 41.63°, rel. 14.9
- hkl 2 2 3, 2θ = 69.80°, rel. 14.3

***

8.
Diffraction record for BaSiAg. The X-ray powder pattern is computed, not measured: it uses a DFT-relaxed cell (PBE, Alexandria) and Cu Kα (λ = 1.5418 Å).

```
data_BaSiAg
_space_group_name_H-M_alt 'I m m m'
_space_group_IT_number 71
_space_group_name_Hall '-I 2 2'
_cell_length_a 4.570
_cell_length_b 7.727
_cell_length_c 9.725
_cell_angle_alpha 90.00
_cell_angle_beta 90.00
_cell_angle_gamma 90.00
loop_
_atom_site_label
_atom_site_type_symbol
_atom_site_fract_x
_atom_site_fract_y
_atom_site_fract_z
Ba1 Ba 0.000 0.000 0.236
Si1 Si 0.000 0.349 0.000
Ag1 Ag 0.000 0.304 0.500
```

Most intense lines, 2θ = 10–90°, by intensity:
- hkl 1 1 2, 2θ = 29.20°, rel. 100.0
- hkl 0 2 2, 2θ = 29.53°, rel. 73.4
- hkl 1 3 0, 2θ = 40.19°, rel. 39.9
- hkl 2 2 2, 2θ = 50.02°, rel. 32.7
- hkl 1 3 4, 2θ = 55.75°, rel. 27.9
- hkl 0 0 4, 2θ = 36.97°, rel. 27.3
- hkl 2 0 0, 2θ = 39.43°, rel. 24.1
- hkl 1 2 1, 2θ = 31.69°, rel. 19.2
- hkl 1 5 2, 2θ = 66.72°, rel. 17.6
- hkl 2 0 4, 2θ = 55.16°, rel. 16.6

***

9.
Diffraction record for K3Na3SnI8. The X-ray powder pattern is computed, not measured: it uses a DFT-relaxed cell (PBE, Alexandria) and Cu Kα (λ = 1.5418 Å).

```
data_K3Na3SnI8
_space_group_name_H-M_alt 'R -3 m'
_space_group_IT_number 166
_space_group_name_Hall '-R 3 2"'
_cell_length_a 9.5035
_cell_length_b 9.5035
_cell_length_c 24.4045
_cell_angle_alpha 90.00
_cell_angle_beta 90.00
_cell_angle_gamma 120.00
loop_
_atom_site_label
_atom_site_type_symbol
_atom_site_fract_x
_atom_site_fract_y
_atom_site_fract_z
K1 K 0.0000 0.5000 0.0000
Na1 Na 0.0000 0.5000 0.5000
Sn1 Sn 0.0000 0.0000 0.5000
I1 I 0.0000 0.0000 0.2416
I2 I 0.0060 0.5030 0.2399
```

Most intense lines, 2θ = 10–90°, by intensity:
- hkl 0 2 4, 2θ = 26.12°, rel. 100.0
- hkl 2 2 0, 2θ = 37.87°, rel. 38.3
- hkl 2 0 2, 2θ = 22.81°, rel. 38.1
- hkl 2 0 8, 2θ = 36.67°, rel. 35.1
- hkl 4 0 4, 2θ = 46.56°, rel. 26.0
- hkl 2 4 4, 2θ = 61.52°, rel. 19.6
- hkl 2 2 12, 2θ = 59.89°, rel. 17.9
- hkl 0 4 8, 2θ = 53.72°, rel. 14.4
- hkl 4 2 8, 2θ = 67.60°, rel. 12.6
- hkl 0 0 6, 2θ = 21.85°, rel. 11.8

***

10.
Diffraction record for ScTl2Cu3F12. The X-ray powder pattern is computed, not measured: it uses a DFT-relaxed cell (PBE, Alexandria) and Cu Kα (λ = 1.5418 Å).

```
data_ScTl2Cu3F12
_space_group_name_H-M_alt 'R -3 m'
_space_group_IT_number 166
_space_group_name_Hall '-R 3 2"'
_cell_length_a 7.3416
_cell_length_b 7.3416
_cell_length_c 18.3721
_cell_angle_alpha 90.00
_cell_angle_beta 90.00
_cell_angle_gamma 120.00
loop_
_atom_site_label
_atom_site_type_symbol
_atom_site_fract_x
_atom_site_fract_y
_atom_site_fract_z
Sc1 Sc 0.0000 0.0000 0.0000
Tl1 Tl 0.0000 0.0000 0.3950
Cu1 Cu 0.0000 0.5000 0.5000
F1 F 0.0657 0.5328 0.6064
F2 F 0.0670 0.5335 0.8525
```

Most intense lines, 2θ = 10–90°, by intensity:
- hkl 0 1 5, 2θ = 28.05°, rel. 100.0
- hkl 0 2 1, 2θ = 28.49°, rel. 90.0
- hkl 1 0 4, 2θ = 23.90°, rel. 61.8
- hkl 1 1 3, 2θ = 28.35°, rel. 61.2
- hkl 1 1 0, 2θ = 24.25°, rel. 56.7
- hkl 0 2 10, 2θ = 58.00°, rel. 48.3
- hkl 2 2 0, 2θ = 49.67°, rel. 46.7
- hkl 2 0 2, 2θ = 29.74°, rel. 40.5
- hkl 1 2 5, 2θ = 45.08°, rel. 37.3
- hkl 1 0 1, 2θ = 14.74°, rel. 31.8

***

11.
Diffraction record for La21Fe8Bi7C12. The X-ray powder pattern is computed, not measured: it uses a DFT-relaxed cell (PBE, Alexandria) and Cu Kα (λ = 1.5418 Å).

```
data_La21Fe8Bi7C12
_space_group_name_H-M_alt 'F m -3 m'
_space_group_IT_number 225
_space_group_name_Hall '-F 4 2 3'
_cell_length_a 16.552
_cell_length_b 16.552
_cell_length_c 16.552
_cell_angle_alpha 90.00
_cell_angle_beta 90.00
_cell_angle_gamma 90.00
loop_
_atom_site_label
_atom_site_type_symbol
_atom_site_fract_x
_atom_site_fract_y
_atom_site_fract_z
La1 La 0.000 0.000 0.000
La2 La 0.000 0.172 0.328
La3 La 0.138 0.138 0.138
Fe1 Fe 0.196 0.196 0.304
Bi1 Bi 0.000 0.000 0.209
Bi2 Bi 0.000 0.000 0.500
C1 C 0.109 0.250 0.250
```

Most intense lines, 2θ = 10–90°, by intensity:
- hkl 3 3 3, 2θ = 28.01°, rel. 100.0
- hkl 6 0 0, 2θ = 32.46°, rel. 76.6
- hkl 4 4 0, 2θ = 30.55°, rel. 45.5
- hkl 5 3 1, 2θ = 31.99°, rel. 43.4
- hkl 5 5 3, 2θ = 41.93°, rel. 39.2
- hkl 6 6 0, 2θ = 46.56°, rel. 32.4
- hkl 7 7 3, 2θ = 57.61°, rel. 23.6
- hkl 9 3 3, 2θ = 55.22°, rel. 20.3
- hkl 10 4 0, 2θ = 60.22°, rel. 16.8
- hkl 8 4 4, 2θ = 54.30°, rel. 16.0

***

12.
Diffraction record for Rb2Al12Au7. The X-ray powder pattern is computed, not measured: it uses a DFT-relaxed cell (PBE, Alexandria) and Cu Kα (λ = 1.5418 Å).

```
data_Rb2Al12Au7
_space_group_name_H-M_alt 'P -3'
_space_group_IT_number 147
_space_group_name_Hall '-P 3'
_cell_length_a 10.6589
_cell_length_b 10.6589
_cell_length_c 4.2597
_cell_angle_alpha 90.00
_cell_angle_beta 90.00
_cell_angle_gamma 120.00
loop_
_atom_site_label
_atom_site_type_symbol
_atom_site_fract_x
_atom_site_fract_y
_atom_site_fract_z
Rb1 Rb 0.3333 0.6667 0.2531
Al1 Al 0.0552 0.4340 0.7465
Al2 Al 0.1246 0.2659 0.2626
Au1 Au 0.0000 0.0000 0.5000
Au2 Au 0.1044 0.7082 0.7614
```

Most intense lines, 2θ = 10–90°, by intensity:
- hkl 2 1 0, 2θ = 25.53°, rel. 100.0
- hkl 1 1 1, 2θ = 26.79°, rel. 70.9
- hkl 0 2 1, 2θ = 28.51°, rel. 56.7
- hkl 3 -1 1, 2θ = 33.19°, rel. 48.7
- hkl 3 2 1, 2θ = 47.98°, rel. 44.9
- hkl 4 -1 1, 2θ = 41.14°, rel. 41.3
- hkl 5 -4 1, 2θ = 50.16°, rel. 33.4
- hkl 1 4 0, 2θ = 45.00°, rel. 32.5
- hkl 3 0 0, 2θ = 29.02°, rel. 25.0
- hkl 0 4 1, 2θ = 44.66°, rel. 23.9